(1)
Simulated powder diffractogram of Ba3Hg3Pb for Cu Kα, 1.54184 Å, from a PBE-relaxed structure.
Lines closer than 0.1° are merged.

```
data_Ba3Hg3Pb
_symmetry_space_group_name_H-M 'C 1 2/m 1'
_symmetry_Int_Tables_number 12
_cell_length_a 12.5293
_cell_length_b 5.0137
_cell_length_c 17.8367
_cell_angle_alpha 90.00
_cell_angle_beta 108.72
_cell_angle_gamma 90.00
loop_
_symmetry_equiv_pos_as_xyz
'x,y,z'
'-x,-y,-z'
'-x,y,-z'
'x,-y,z'
'x+1/2,y+1/2,z'
'-x+1/2,-y+1/2,-z'
'-x+1/2,y+1/2,-z'
'x+1/2,-y+1/2,z'
loop_
_atom_site_label
_atom_site_type_symbol
_atom_site_fract_x
_atom_site_fract_y
_atom_site_fract_z
Ba1 Ba 0.0406 0.0000 0.3938
Ba2 Ba 0.0987 0.0000 0.9202
Ba3 Ba 0.2489 0.0000 0.2346
Hg1 Hg 0.0287 0.5000 0.2287
Hg2 Hg 0.1129 0.5000 0.0762
Hg3 Hg 0.1304 0.5000 0.5390
Pb1 Pb 0.2411 0.5000 0.3874
```

Main lines, by angle (2θ = 15–90°):
hkl 1 1 3, 2θ = 26.44°, 3.371 Å, intensity 42; hkl 1 1 -4, 2θ = 26.77°, 3.331 Å, intensity 52; hkl 4 0 -2, 2θ = 28.51°, 3.131 Å, intensity 21; hkl 3 1 -4, 2θ = 31.15°, 2.871 Å, intensity 29; hkl 0 0 6, 2θ = 31.78°, 2.815 Å, intensity 22; hkl 3 1 2, 2θ = 33.16°, 2.702 Å, intensity 100; hkl 0 2 0, 2θ = 35.82°, 2.507 Å, intensity 43; hkl 7 1 -3, 2θ = 54.44°, 1.685 Å, intensity 21

(2)
Simulated powder diffractogram of Ba2Hg4Pb3 for Cu Kα, 1.54184 Å, from a PBE-relaxed structure.
Lines closer than 0.1° are merged.

```
data_Ba2Hg4Pb3
_symmetry_space_group_name_H-M 'C m c e'
_symmetry_Int_Tables_number 64
_symmetry_space_group_name_Hall '-C 2ac 2'
_cell_length_a 6.8927
_cell_length_b 18.0588
_cell_length_c 9.3740
_cell_angle_alpha 90.00
_cell_angle_beta 90.00
_cell_angle_gamma 90.00
loop_
_atom_site_label
_atom_site_type_symbol
_atom_site_fract_x
_atom_site_fract_y
_atom_site_fract_z
Ba1 Ba 0.0000 0.1161 0.0835
Hg1 Hg 0.0000 0.1787 0.4602
Hg2 Hg 0.2500 0.0479 0.7500
Pb1 Pb 0.0000 0.0000 0.5000
Pb2 Pb 0.2500 0.2161 0.7500
```

Main lines, by angle (2θ = 15–90°):
hkl 0 4 2, 2θ = 27.41°, 3.254 Å, intensity 19; hkl 2 2 1, 2θ = 29.33°, 3.045 Å, intensity 41; hkl 1 5 1, 2θ = 29.50°, 3.028 Å, intensity 56; hkl 0 2 3, 2θ = 30.27°, 2.953 Å, intensity 40; hkl 0 6 1, 2θ = 31.21°, 2.866 Å, intensity 36; hkl 2 0 2, 2θ = 32.24°, 2.777 Å, intensity 100; hkl 2 6 1, 2θ = 40.96°, 2.203 Å, intensity 24; hkl 2 6 3, 2θ = 49.69°, 1.835 Å, intensity 22

(3)
Simulated powder diffractogram of Ba3Hg4Pb4 for Cu Kα, 1.54184 Å, from a PBE-relaxed structure.
Lines closer than 0.1° are merged.

```
data_Ba3Hg4Pb4
_symmetry_space_group_name_H-M 'P -1'
_symmetry_Int_Tables_number 2
_cell_length_a 4.8215
_cell_length_b 5.1264
_cell_length_c 15.8928
_cell_angle_alpha 99.22
_cell_angle_beta 98.56
_cell_angle_gamma 90.01
loop_
_symmetry_equiv_pos_as_xyz
'x,y,z'
'-x,-y,-z'
loop_
_atom_site_label
_atom_site_type_symbol
_atom_site_fract_x
_atom_site_fract_y
_atom_site_fract_z
Ba1 Ba 0.0000 0.0000 0.0000
Ba2 Ba 0.1516 0.6455 0.2911
Hg1 Hg 0.3268 0.8120 0.6244
Hg2 Hg 0.4978 0.4538 0.9068
Pb1 Pb 0.2436 0.2525 0.5042
Pb2 Pb 0.3585 0.9068 0.8124
```

Main lines, by angle (2θ = 15–90°):
hkl 1 0 -1, 2θ = 18.62°, 4.764 Å, intensity 27; hkl 1 0 -4, 2θ = 27.36°, 3.260 Å, intensity 37; hkl 1 1 1, 2θ = 27.88°, 3.200 Å, intensity 100; hkl 0 2 -1, 2θ = 35.01°, 2.563 Å, intensity 38; hkl 0 1 5, 2θ = 36.36°, 2.471 Å, intensity 42; hkl 2 0 -1, 2θ = 37.30°, 2.411 Å, intensity 28; hkl -1 1 5, 2θ = 38.71°, 2.326 Å, intensity 24; hkl 2 2 -2, 2θ = 52.08°, 1.756 Å, intensity 22

(4)
Simulated powder diffractogram of BaHg6Pb for Cu Kα, 1.54184 Å, from a PBE-relaxed structure.
Lines closer than 0.1° are merged.

```
data_BaHg6Pb
_symmetry_space_group_name_H-M 'A m m 2'
_symmetry_Int_Tables_number 38
_cell_length_a 5.2004
_cell_length_b 7.5759
_cell_length_c 11.8925
_cell_angle_alpha 90.00
_cell_angle_beta 90.00
_cell_angle_gamma 90.00
loop_
_symmetry_equiv_pos_as_xyz
'x,y,z'
'-x,-y,z'
'-x,y,z'
'x,-y,z'
'x,y+1/2,z+1/2'
'-x,-y+1/2,z+1/2'
'-x,y+1/2,z+1/2'
'x,-y+1/2,z+1/2'
loop_
_atom_site_label
_atom_site_type_symbol
_atom_site_fract_x
_atom_site_fract_y
_atom_site_fract_z
Ba1 Ba 0.0000 0.0000 0.0000
Hg1 Hg 0.0000 0.0000 0.5304
Hg2 Hg 0.0000 0.2223 0.2634
Hg3 Hg 0.5000 0.0000 0.1915
Hg4 Hg 0.5000 0.2103 0.4418
Pb1 Pb 0.5000 0.0000 0.7137
```

Main lines, by angle (2θ = 15–90°):
hkl 0 2 2, 2θ = 27.93°, 3.195 Å, intensity 16; hkl 0 0 4, 2θ = 30.06°, 2.973 Å, intensity 17; hkl 1 2 2, 2θ = 32.90°, 2.722 Å, intensity 100; hkl 2 0 0, 2θ = 34.49°, 2.600 Å, intensity 30; hkl 1 0 4, 2θ = 34.76°, 2.581 Å, intensity 32; hkl 0 2 6, 2θ = 52.08°, 1.756 Å, intensity 14; hkl 3 2 2, 2θ = 60.79°, 1.524 Å, intensity 18; hkl 2 2 6, 2θ = 63.97°, 1.455 Å, intensity 15

(5)
Simulated powder diffractogram of Ba3HgPb for Cu Kα, 1.54184 Å, from a PBE-relaxed structure.
Lines closer than 0.1° are merged.

```
data_Ba3HgPb
_symmetry_space_group_name_H-M 'C 2 2 2'
_symmetry_Int_Tables_number 21
_cell_length_a 11.4618
_cell_length_b 18.4889
_cell_length_c 4.4926
_cell_angle_alpha 90.00
_cell_angle_beta 90.00
_cell_angle_gamma 90.00
loop_
_symmetry_equiv_pos_as_xyz
'x,y,z'
'-x,-y,z'
'x,-y,-z'
'-x,y,-z'
'x+1/2,y+1/2,z'
'-x+1/2,-y+1/2,z'
'x+1/2,-y+1/2,-z'
'-x+1/2,y+1/2,-z'
loop_
_atom_site_label
_atom_site_type_symbol
_atom_site_fract_x
_atom_site_fract_y
_atom_site_fract_z
Ba1 Ba 0.0000 0.1517 0.0000
Ba2 Ba 0.1893 0.3944 0.4994
Hg1 Hg 0.2500 0.2500 0.9993
Pb1 Pb 0.0000 0.0000 0.5000
Pb2 Pb 0.0000 0.5000 0.0000
```

Main lines, by angle (2θ = 15–90°):
hkl 2 2 0, 2θ = 18.21°, 4.871 Å, intensity 79; hkl 0 2 1, 2θ = 22.00°, 4.041 Å, intensity 50; hkl 1 3 1, 2θ = 25.74°, 3.461 Å, intensity 100; hkl 3 1 1, 2θ = 31.11°, 2.875 Å, intensity 45; hkl 2 4 1, 2θ = 31.87°, 2.808 Å, intensity 94; hkl 2 6 0, 2θ = 33.00°, 2.714 Å, intensity 80; hkl 0 0 2, 2θ = 40.14°, 2.246 Å, intensity 36; hkl 2 6 2, 2θ = 52.91°, 1.730 Å, intensity 43

(6)
Simulated powder diffractogram of Ba3Hg3Pb2 for Cu Kα, 1.54184 Å, from a PBE-relaxed structure.
Lines closer than 0.1° are merged.

```
data_Ba3Hg3Pb2
_symmetry_space_group_name_H-M 'C m c m'
_symmetry_Int_Tables_number 63
_symmetry_space_group_name_Hall '-C 2c 2'
_cell_length_a 5.1348
_cell_length_b 12.6312
_cell_length_c 17.7559
_cell_angle_alpha 90.00
_cell_angle_beta 90.00
_cell_angle_gamma 90.00
loop_
_atom_site_label
_atom_site_type_symbol
_atom_site_fract_x
_atom_site_fract_y
_atom_site_fract_z
Ba1 Ba 0.0000 0.0888 0.1009
Ba2 Ba 0.0000 0.3661 0.2500
Hg1 Hg 0.0000 0.3567 0.7500
Hg2 Hg 0.0000 0.3847 0.0345
Pb1 Pb 0.0000 0.2061 0.6044
```

Main lines, by angle (2θ = 15–90°):
hkl 1 1 4, 2θ = 27.48°, 3.246 Å, intensity 100; hkl 1 3 1, 2θ = 27.86°, 3.202 Å, intensity 29; hkl 0 4 0, 2θ = 28.26°, 3.158 Å, intensity 22; hkl 0 0 6, 2θ = 30.20°, 2.959 Å, intensity 21; hkl 1 3 3, 2θ = 31.36°, 2.852 Å, intensity 82; hkl 1 3 4, 2θ = 34.15°, 2.625 Å, intensity 61; hkl 2 0 0, 2θ = 34.93°, 2.569 Å, intensity 73; hkl 1 1 7, 2θ = 40.29°, 2.238 Å, intensity 26

(7)
Simulated powder diffractogram of BaHg2PdPb for Cu Kα, 1.54184 Å, from a PBE-relaxed structure.
Lines closer than 0.1° are merged.

```
data_BaHg2PdPb
_symmetry_space_group_name_H-M 'I m m 2'
_symmetry_Int_Tables_number 44
_cell_length_a 4.5574
_cell_length_b 4.9434
_cell_length_c 12.7416
_cell_angle_alpha 90.00
_cell_angle_beta 90.00
_cell_angle_gamma 90.00
loop_
_symmetry_equiv_pos_as_xyz
'x,y,z'
'-x,-y,z'
'-x,y,z'
'x,-y,z'
'x+1/2,y+1/2,z+1/2'
'-x+1/2,-y+1/2,z+1/2'
'-x+1/2,y+1/2,z+1/2'
'x+1/2,-y+1/2,z+1/2'
loop_
_atom_site_label
_atom_site_type_symbol
_atom_site_fract_x
_atom_site_fract_y
_atom_site_fract_z
Ba1 Ba 0.0000 0.0000 0.0000
Hg1 Hg 0.0000 0.0000 0.6059
Hg2 Hg 0.0000 0.5000 0.2770
Pd1 Pd 0.0000 0.0000 0.3901
Pb1 Pb 0.0000 0.5000 0.7611
```

Main lines, by angle (2θ = 15–90°):
hkl 1 0 3, 2θ = 28.73°, 3.107 Å, intensity 16; hkl 1 1 2, 2θ = 30.13°, 2.966 Å, intensity 100; hkl 0 2 0, 2θ = 36.35°, 2.472 Å, intensity 29; hkl 1 1 4, 2θ = 39.02°, 2.308 Å, intensity 38; hkl 2 0 0, 2θ = 39.55°, 2.279 Å, intensity 23; hkl 0 1 5, 2θ = 39.80°, 2.265 Å, intensity 17; hkl 2 2 0, 2θ = 54.79°, 1.675 Å, intensity 18; hkl 1 3 2, 2θ = 61.59°, 1.506 Å, intensity 14

(8)
Simulated powder diffractogram of BaTb2Hg2Pb2 for Cu Kα, 1.54184 Å, from a PBE-relaxed structure.
Lines closer than 0.1° are merged.

```
data_BaTb2Hg2Pb2
_symmetry_space_group_name_H-M 'R -3 m'
_symmetry_Int_Tables_number 166
_symmetry_space_group_name_Hall '-R 3 2"'
_cell_length_a 5.1917
_cell_length_b 5.1917
_cell_length_c 28.9880
_cell_angle_alpha 90.00
_cell_angle_beta 90.00
_cell_angle_gamma 120.00
loop_
_atom_site_label
_atom_site_type_symbol
_atom_site_fract_x
_atom_site_fract_y
_atom_site_fract_z
Ba1 Ba 0.0000 0.0000 0.0000
Tb1 Tb 0.0000 0.0000 0.1355
Hg1 Hg 0.0000 0.0000 0.4435
Pb1 Pb 0.0000 0.0000 0.2574
```

Main lines, by angle (2θ = 15–90°):
hkl 1 0 7, 2θ = 29.32°, 3.046 Å, intensity 75; hkl 1 1 0, 2θ = 34.55°, 2.596 Å, intensity 100; hkl 1 0 10, 2θ = 36.89°, 2.436 Å, intensity 34; hkl 0 2 7, 2θ = 45.93°, 1.976 Å, intensity 22; hkl 1 0 16, 2θ = 54.61°, 1.680 Å, intensity 15; hkl 2 1 7, 2θ = 58.73°, 1.572 Å, intensity 22; hkl 3 0 0, 2θ = 61.91°, 1.499 Å, intensity 19; hkl 2 1 10, 2θ = 63.45°, 1.466 Å, intensity 14

(9)
Simulated powder diffractogram of Ba2TlHgPb2 for Cu Kα, 1.54184 Å, from a PBE-relaxed structure.
Lines closer than 0.1° are merged.

```
data_Ba2TlHgPb2
_symmetry_space_group_name_H-M 'I b a m'
_symmetry_Int_Tables_number 72
_symmetry_space_group_name_Hall '-I 2 2c'
_cell_length_a 7.4846
_cell_length_b 15.8708
_cell_length_c 7.5028
_cell_angle_alpha 90.00
_cell_angle_beta 90.00
_cell_angle_gamma 90.00
loop_
_atom_site_label
_atom_site_type_symbol
_atom_site_fract_x
_atom_site_fract_y
_atom_site_fract_z
Ba1 Ba 0.2434 0.1486 0.0000
Tl1 Tl 0.0000 0.5000 0.2500
Hg1 Hg 0.0000 0.0000 0.2500
Pb1 Pb 0.2451 0.1177 0.5000
```

Main lines, by angle (2θ = 15–90°):
hkl 2 2 0, 2θ = 26.30°, 3.388 Å, intensity 33; hkl 0 4 2, 2θ = 32.88°, 2.724 Å, intensity 100; hkl 2 0 2, 2θ = 33.84°, 2.649 Å, intensity 57; hkl 2 2 2, 2θ = 35.73°, 2.513 Å, intensity 10; hkl 0 0 4, 2θ = 48.54°, 1.876 Å, intensity 9; hkl 4 0 0, 2θ = 48.65°, 1.872 Å, intensity 17; hkl 2 8 2, 2θ = 58.09°, 1.588 Å, intensity 16; hkl 2 4 4, 2θ = 59.92°, 1.544 Å, intensity 36

(10)
Simulated powder diffractogram of BaTlHg2Pb2 for Cu Kα, 1.54184 Å, from a PBE-relaxed structure.
Lines closer than 0.1° are merged.

```
data_BaTlHg2Pb2
_symmetry_space_group_name_H-M 'P -3 m 1'
_symmetry_Int_Tables_number 164
_symmetry_space_group_name_Hall '-P 3 2"'
_cell_length_a 5.3886
_cell_length_b 5.3886
_cell_length_c 7.5565
_cell_angle_alpha 90.00
_cell_angle_beta 90.00
_cell_angle_gamma 120.00
loop_
_atom_site_label
_atom_site_type_symbol
_atom_site_fract_x
_atom_site_fract_y
_atom_site_fract_z
Ba1 Ba 0.0000 0.0000 0.0000
Tl1 Tl 0.0000 0.0000 0.5000
Hg1 Hg 0.3333 0.6667 0.2435
Pb1 Pb 0.3333 0.6667 0.6905
```

Main lines, by angle (2θ = 15–90°):
hkl 0 1 2, 2θ = 30.44°, 2.936 Å, intensity 100; hkl 1 1 0, 2θ = 33.25°, 2.694 Å, intensity 97; hkl 2 0 2, 2θ = 45.70°, 1.985 Å, intensity 33; hkl 1 2 2, 2θ = 57.68°, 1.598 Å, intensity 34; hkl 3 0 0, 2θ = 59.42°, 1.556 Å, intensity 19; hkl 1 1 4, 2θ = 59.79°, 1.547 Å, intensity 16; hkl 2 2 0, 2θ = 69.82°, 1.347 Å, intensity 12; hkl 3 1 2, 2θ = 78.04°, 1.224 Å, intensity 14

(11)
Simulated powder diffractogram of Ba2Tl2Hg4Pb for Cu Kα, 1.54184 Å, from a PBE-relaxed structure.
Lines closer than 0.1° are merged.

```
data_Ba2Tl2Hg4Pb
_symmetry_space_group_name_H-M 'I 4/m m m'
_symmetry_Int_Tables_number 139
_symmetry_space_group_name_Hall '-I 4 2'
_cell_length_a 7.4968
_cell_length_b 7.4968
_cell_length_c 10.7266
_cell_angle_alpha 90.00
_cell_angle_beta 90.00
_cell_angle_gamma 90.00
loop_
_atom_site_label
_atom_site_type_symbol
_atom_site_fract_x
_atom_site_fract_y
_atom_site_fract_z
Ba1 Ba 0.0000 0.5000 0.2500
Tl1 Tl 0.0000 0.0000 0.2049
Hg1 Hg 0.2137 0.2137 0.0000
Pb1 Pb 0.0000 0.0000 0.5000
```

Main lines, by angle (2θ = 15–90°):
hkl 1 1 0, 2θ = 16.72°, 5.301 Å, intensity 21; hkl 2 0 2, 2θ = 29.06°, 3.072 Å, intensity 100; hkl 0 0 4, 2θ = 33.41°, 2.682 Å, intensity 29; hkl 2 2 0, 2θ = 33.82°, 2.651 Å, intensity 62; hkl 2 1 3, 2θ = 36.75°, 2.446 Å, intensity 39; hkl 3 0 3, 2θ = 44.22°, 2.048 Å, intensity 27; hkl 2 2 4, 2θ = 48.28°, 1.885 Å, intensity 33; hkl 4 0 0, 2θ = 48.58°, 1.874 Å, intensity 18

(12)
Simulated powder diffractogram of Ba2Hg4Pd5 for Cu Kα, 1.54184 Å, from a PBE-relaxed structure.
Lines closer than 0.1° are merged.

```
data_Ba2Hg4Pd5
_symmetry_space_group_name_H-M 'F m m m'
_symmetry_Int_Tables_number 69
_symmetry_space_group_name_Hall '-F 2 2'
_cell_length_a 6.0237
_cell_length_b 10.2507
_cell_length_c 17.3559
_cell_angle_alpha 90.00
_cell_angle_beta 90.00
_cell_angle_gamma 90.00
loop_
_atom_site_label
_atom_site_type_symbol
_atom_site_fract_x
_atom_site_fract_y
_atom_site_fract_z
Ba1 Ba 0.0000 0.0000 0.1304
Hg1 Hg 0.0000 0.1614 0.3719
Pd1 Pd 0.0000 0.0000 0.5000
Pd2 Pd 0.2500 0.2500 0.0000
Pd3 Pd 0.2500 0.2500 0.2500
```

Main lines, by angle (2θ = 15–90°):
hkl 1 1 1, 2θ = 17.83°, 4.975 Å, intensity 28; hkl 1 3 1, 2θ = 30.52°, 2.929 Å, intensity 62; hkl 1 3 3, 2θ = 33.91°, 2.644 Å, intensity 100; hkl 2 0 4, 2θ = 36.31°, 2.474 Å, intensity 97; hkl 1 3 5, 2θ = 39.93°, 2.258 Å, intensity 46; hkl 2 2 4, 2θ = 40.48°, 2.228 Å, intensity 30; hkl 0 0 8, 2θ = 41.63°, 2.169 Å, intensity 43; hkl 2 6 8, 2θ = 77.92°, 1.226 Å, intensity 27

(13)
Simulated powder diffractogram of BaHg3Pd3 for Cu Kα, 1.54184 Å, from a PBE-relaxed structure.
Lines closer than 0.1° are merged.

```
data_BaHg3Pd3
_symmetry_space_group_name_H-M 'R -3'
_symmetry_Int_Tables_number 148
_symmetry_space_group_name_Hall '-R 3'
_cell_length_a 7.4795
_cell_length_b 7.4795
_cell_length_c 19.9655
_cell_angle_alpha 90.00
_cell_angle_beta 90.00
_cell_angle_gamma 120.00
loop_
_atom_site_label
_atom_site_type_symbol
_atom_site_fract_x
_atom_site_fract_y
_atom_site_fract_z
Ba1 Ba 0.0000 0.0000 0.1474
Hg1 Hg 0.0620 0.5941 0.3689
Pd1 Pd 0.0328 0.2312 0.4399
```

Main lines, by angle (2θ = 15–90°):
hkl 2 -1 3, 2θ = 27.36°, 3.260 Å, intensity 39; hkl 0 2 4, 2θ = 32.97°, 2.717 Å, intensity 78; hkl 1 0 7, 2θ = 34.35°, 2.610 Å, intensity 46; hkl 1 1 6, 2θ = 36.13°, 2.486 Å, intensity 54; hkl 3 -1 1, 2θ = 36.99°, 2.430 Å, intensity 100; hkl 1 2 2, 2θ = 37.84°, 2.378 Å, intensity 57; hkl 2 0 8, 2θ = 45.91°, 1.977 Å, intensity 27; hkl 1 4 6, 2θ = 72.68°, 1.301 Å, intensity 25